Record 1
Starting from the PBE geometry in Alexandria, the PXRD pattern of AcNpTe2O was computed for λ = 1.5418 Å (Cu Kα).

Atomic structure:
Cell lengths 4.371, 4.371, 15.510 Å; angles 90.00, 90.00, 90.00 degrees
Fractional positions:
Ac1 0.250 0.250 0.079
Ac2 0.750 0.750 0.921
Np1 0.250 0.250 0.609
Np2 0.750 0.750 0.391
Te1 0.250 0.250 0.403
Te2 0.250 0.250 0.798
Te3 0.750 0.750 0.202
Te4 0.750 0.750 0.597
O1 0.250 0.750 0.000
O2 0.750 0.250 0.000

Most intense lines, 10° ≤ 2θ ≤ 80°, by angle:
23.4°, d 3.808, intensity 35.2; 28.9°, d 3.091, intensity 100.0; 30.8°, d 2.901, intensity 39.4; 37.2°, d 2.417, intensity 29.7; 41.3°, d 2.187, intensity 55.4; 45.8°, d 1.983, intensity 24.9

Record 2
Starting from the PBE geometry in Alexandria, the PXRD pattern of Ca2TmZn6 was computed for λ = 1.5418 Å (Cu Kα).

Atomic structure:
Cell lengths 7.789, 7.789, 3.583 Å; angles 90.00, 90.00, 120.00 degrees
Fractional positions:
Ca1 0.333 0.667 0.000
Ca2 0.667 0.333 0.000
Tm1 0.000 0.000 0.000
Zn1 0.000 0.331 0.500
Zn2 0.000 0.669 0.500
Zn3 0.331 0.000 0.500
Zn4 0.331 0.331 0.500
Zn5 0.669 0.000 0.500
Zn6 0.669 0.669 0.500

Most intense lines, 10° ≤ 2θ ≤ 80°, by angle:
13.1°, d 6.745, intensity 34.7; 34.0°, d 2.637, intensity 100.0; 40.1°, d 2.248, intensity 67.1; 53.6°, d 1.711, intensity 26.3; 66.8°, d 1.401, intensity 27.8; 69.0°, d 1.361, intensity 23.7

Record 3
Starting from the PBE geometry in Alexandria, the PXRD pattern of Ac2Pm2Au5 was computed for λ = 1.5418 Å (Cu Kα).

Atomic structure:
Cell lengths 8.905, 8.905, 8.110 Å; angles 90.00, 90.00, 54.06 degrees
Fractional positions:
Ac1 0.197 0.197 0.000
Ac2 0.303 0.303 0.500
Ac3 0.697 0.697 0.500
Ac4 0.803 0.803 0.000
Pm1 0.161 0.839 0.660
Pm2 0.339 0.661 0.160
Pm3 0.661 0.339 0.840
Pm4 0.839 0.161 0.340
Au1 0.000 0.000 0.000
Au2 0.014 0.731 0.360
Au3 0.231 0.514 0.860
Au4 0.269 0.986 0.360
Au5 0.486 0.769 0.860
Au6 0.500 0.500 0.500
Au7 0.514 0.231 0.140
Au8 0.731 0.014 0.640
Au9 0.769 0.486 0.140
Au10 0.986 0.269 0.640

Most intense lines, 10° ≤ 2θ ≤ 80°, by angle:
29.9°, d 2.990, intensity 54.6; 31.2°, d 2.864, intensity 28.1; 32.3°, d 2.776, intensity 57.2; 33.5°, d 2.674, intensity 60.2; 35.5°, d 2.529, intensity 100.0; 37.7°, d 2.388, intensity 24.9

Record 4
Starting from the PBE geometry in Alexandria, the PXRD pattern of LiPa2S3 was computed for λ = 1.5418 Å (Cu Kα).

Atomic structure:
Cell lengths 7.699, 5.451, 11.581 Å; angles 90.00, 90.00, 90.00 degrees
Fractional positions:
Li1 0.119 0.250 0.082
Li2 0.381 0.750 0.582
Li3 0.619 0.250 0.418
Li4 0.881 0.750 0.918
Pa1 0.122 0.250 0.419
Pa2 0.124 0.250 0.748
Pa3 0.376 0.750 0.248
Pa4 0.378 0.750 0.919
Pa5 0.622 0.250 0.081
Pa6 0.624 0.250 0.752
Pa7 0.876 0.750 0.252
Pa8 0.878 0.750 0.581
S1 0.119 0.750 0.080
S2 0.125 0.750 0.752
S3 0.137 0.750 0.421
S4 0.363 0.250 0.921
S5 0.375 0.250 0.252
S6 0.381 0.250 0.580
S7 0.619 0.750 0.420
S8 0.625 0.750 0.748
S9 0.637 0.750 0.079
S10 0.863 0.250 0.579
S11 0.875 0.250 0.248
S12 0.881 0.250 0.920

Most intense lines, 10° ≤ 2θ ≤ 80°, by angle:
13.8°, d 6.412, intensity 31.1; 28.4°, d 3.148, intensity 78.2; 32.9°, d 2.726, intensity 100.0; 47.1°, d 1.928, intensity 60.6; 55.9°, d 1.644, intensity 39.8; 78.5°, d 1.219, intensity 22.1

Record 5
Starting from the PBE geometry in Alexandria, the PXRD pattern of Sm8Dy3Y was computed for λ = 1.5418 Å (Cu Kα).

Atomic structure:
Cell lengths 8.714, 8.714, 8.714 Å; angles 135.53, 99.32, 97.15 degrees
Fractional positions:
Sm1 0.085 0.250 0.836
Sm2 0.248 0.749 0.998
Sm3 0.250 0.251 0.499
Sm4 0.414 0.250 0.164
Sm5 0.586 0.750 0.835
Sm6 0.750 0.249 0.002
Sm7 0.752 0.751 0.501
Sm8 0.915 0.750 0.165
Dy1 0.000 0.000 0.000
Dy2 0.250 0.750 0.500
Dy3 0.750 0.250 0.500
Y1 0.500 0.500 0.000

Most intense lines, 10° ≤ 2θ ≤ 80°, by angle:
31.0°, d 2.883, intensity 46.1; 31.3°, d 2.862, intensity 46.7; 31.5°, d 2.843, intensity 100.0; 35.2°, d 2.552, intensity 28.0; 50.6°, d 1.803, intensity 20.5; 65.7°, d 1.421, intensity 21.4

Record 6
Starting from the PBE geometry in Alexandria, the PXRD pattern of NaYSe2O8 was computed for λ = 1.5418 Å (Cu Kα).

Atomic structure:
Cell lengths 8.371, 8.371, 8.371 Å; angles 36.67, 36.67, 36.67 degrees
Fractional positions:
Na1 0.000 0.000 0.000
Y1 0.500 0.500 0.500
Se1 0.251 0.251 0.251
Se2 0.749 0.749 0.749
O1 0.077 0.479 0.769
O2 0.231 0.923 0.521
O3 0.321 0.321 0.321
O4 0.479 0.769 0.077
O5 0.521 0.231 0.923
O6 0.679 0.679 0.679
O7 0.769 0.077 0.479
O8 0.923 0.521 0.231

Most intense lines, 10° ≤ 2θ ≤ 80°, by angle:
24.8°, d 3.597, intensity 100.0; 34.0°, d 2.633, intensity 37.3; 36.5°, d 2.462, intensity 27.6; 42.5°, d 2.125, intensity 18.1; 55.6°, d 1.654, intensity 17.9; 58.9°, d 1.567, intensity 21.1

Record 7
Starting from the PBE geometry in Alexandria, the PXRD pattern of Sm2Y2Ho4Er was computed for λ = 1.5418 Å (Cu Kα).

Atomic structure:
Cell lengths 9.483, 9.483, 9.534 Å; angles 115.24, 115.24, 21.80 degrees
Fractional positions:
Sm1 0.166 0.166 0.001
Sm2 0.834 0.834 0.999
Y1 0.353 0.353 0.336
Y2 0.647 0.647 0.664
Ho1 0.019 0.019 0.333
Ho2 0.315 0.315 0.665
Ho3 0.685 0.685 0.335
Ho4 0.981 0.981 0.667
Er1 0.500 0.500 0.000

Most intense lines, 10° ≤ 2θ ≤ 80°, by angle:
29.0°, d 3.083, intensity 40.4; 31.2°, d 2.863, intensity 49.7; 32.0°, d 2.797, intensity 100.0; 33.7°, d 2.659, intensity 89.3; 50.9°, d 1.793, intensity 38.0; 61.0°, d 1.519, intensity 44.1

Record 8
Starting from the PBE geometry in Alexandria, the PXRD pattern of Nb4Se8Br was computed for λ = 1.5418 Å (Cu Kα).

Atomic structure:
Cell lengths 6.930, 6.930, 17.800 Å; angles 90.00, 90.00, 120.00 degrees
Fractional positions:
Nb1 0.000 0.000 0.250
Nb2 0.000 0.000 0.750
Nb3 0.004 0.502 0.250
Nb4 0.498 0.502 0.250
Nb5 0.498 0.996 0.250
Nb6 0.502 0.004 0.750
Nb7 0.502 0.498 0.750
Nb8 0.996 0.498 0.750
Se1 0.166 0.331 0.155
Se2 0.166 0.331 0.345
Se3 0.166 0.834 0.155
Se4 0.166 0.834 0.345
Se5 0.331 0.166 0.655
Se6 0.331 0.166 0.845
Se7 0.333 0.667 0.655
Se8 0.333 0.667 0.845
Se9 0.667 0.333 0.155
Se10 0.667 0.333 0.345
Se11 0.669 0.834 0.155
Se12 0.669 0.834 0.345
Se13 0.834 0.166 0.655
Se14 0.834 0.166 0.845
Se15 0.834 0.669 0.655
Se16 0.834 0.669 0.845
Br1 0.000 0.000 0.000
Br2 0.000 0.000 0.500

Most intense lines, 10° ≤ 2θ ≤ 80°, by angle:
30.2°, d 2.959, intensity 73.7; 36.1°, d 2.488, intensity 100.0; 39.3°, d 2.294, intensity 48.2; 42.9°, d 2.110, intensity 43.4; 52.8°, d 1.732, intensity 40.7; 76.8°, d 1.241, intensity 18.3